[1]
BC3: simulated powder diffraction line list (Cu Kα X-rays), based on DFT lattice parameters and positions (GGA-PBE).
Intensities are scaled so that the largest is 1000.

Crystal structure
```
12
Lattice="2.545 0.000 0.000 -1.272 2.204 0.000 0.000 0.000 13.176" Properties=species:S:1:pos:R:3 pbc="T T T"
B 0.000 0.000 0.000
B 0.000 1.469 1.043
B 1.272 0.735 9.467
C 0.000 0.000 5.210
C 0.000 0.000 6.760
C 0.000 0.000 11.598
C 0.000 1.469 2.630
C 0.000 1.469 7.286
C 0.000 1.469 8.798
C 1.272 0.735 3.145
C 1.272 0.735 4.700
C 1.272 0.735 11.092
```

Top 6 peaks for 2θ = 10–80°, sorted by position:
- 2θ = 13.4°, I 67
- 2θ = 20.2°, I 60
- 2θ = 41.1°, I 260
- 2θ = 43.3°, I 1000
- 2θ = 71.5°, I 199
- 2θ = 74.6°, I 250

[2]
BC2: simulated powder diffraction line list (Cu Kα X-rays), based on DFT lattice parameters and positions (GGA-PBE).
Intensities are scaled so that the largest is 1000.

Crystal structure
```
12
Lattice="3.835 0.000 0.000 0.000 2.541 0.000 -0.153 0.000 7.885" Properties=species:S:1:pos:R:3 pbc="T T T"
B 0.000 0.000 0.000
B -0.007 0.000 2.391
B 0.927 0.000 4.205
B 2.714 1.271 2.742
C 0.857 0.000 6.559
C 1.058 0.000 1.311
C 1.762 1.271 6.605
C 1.901 1.271 1.234
C 1.867 1.271 4.070
C 2.629 1.271 7.869
C 2.770 1.271 5.343
C 3.662 0.000 5.371
```

Top 6 peaks for 2θ = 10–80°, sorted by position:
- 2θ = 11.2°, I 319
- 2θ = 41.3°, I 468
- 2θ = 42.1°, I 581
- 2θ = 42.7°, I 1000
- 2θ = 70.8°, I 265
- 2θ = 71.9°, I 369

[3]
Li6NiPd2: simulated powder diffraction line list (Cu Kα X-rays), based on DFT lattice parameters and positions (GGA-PBE).
Intensities are scaled so that the largest is 1000.

Crystal structure
```
9
Lattice="6.402 -3.695 0.000 6.402 3.695 0.000 -0.004 0.000 2.629" Properties=species:S:1:pos:R:3 pbc="T T T"
Li 4.251 1.228 2.620
Li 6.402 2.467 0.000
Li 4.251 -1.228 2.620
Li 8.525 1.240 2.619
Li 6.402 -2.467 0.000
Li 8.525 -1.240 2.619
Ni 2.126 0.000 1.302
Pd 6.394 0.000 1.309
Pd 10.662 0.000 1.308
```

Top 6 peaks for 2θ = 10–80°, sorted by position:
- 2θ = 24.1°, I 1000
- 2θ = 42.2°, I 550
- 2θ = 42.4°, I 300
- 2θ = 49.3°, I 138
- 2θ = 55.5°, I 170
- 2θ = 61.3°, I 176